(1)
Theoretical PXRD pattern of YAgSe2 for Cu Kα, from DFT lattice parameters and positions (PBE).

Structure:
Lattice parameters (Å, degrees): 4.113 4.113 5.730 90.00 90.00 90.00
Space group P4/mmm (No. 123)
Symmetry-distinct sites (fractional):
Y: 0.000 0.000 0.000 x1
Ag: 0.500 0.500 0.500 x1
Se: 0.000 0.000 0.500 x1
Se: 0.500 0.500 0.000 x1

The 6 most intense peaks (15 to 90 degrees two-theta), low angle first:
- (1 1 0), d = 2.908 Å, 30.75°, rel. 1000
- (0 0 2), d = 2.865 Å, 31.22°, rel. 480
- (2 0 0), d = 2.056 Å, 44.04°, rel. 363
- (1 1 2), d = 2.041 Å, 44.39°, rel. 709
- (2 0 2), d = 1.671 Å, 54.97°, rel. 369
- (3 1 2), d = 1.184 Å, 81.23°, rel. 234

---

(2)
Theoretical PXRD pattern of YAgSe2 for Cu Kα, from DFT lattice parameters and positions (PBE).

Structure:
Lattice parameters (Å, degrees): 5.728 5.728 7.263 67.06 66.88 89.99
Space group P1 (No. 1)
Symmetry-distinct sites (fractional):
Y: 0.000 0.000 0.000 x1
Y: 0.251 0.742 0.502 x1
Ag: 0.499 0.491 0.998 x1
Ag: 0.754 0.240 0.507 x1
Se: 0.011 0.509 0.977 x1
Se: 0.242 0.231 0.525 x1
Se: 0.487 0.979 0.026 x1
Se: 0.765 0.757 0.475 x1

The 6 most intense peaks (15 to 90 degrees two-theta), low angle first:
- (0 0 2), d = 3.025 Å, 29.53°, rel. 556
- (2 0 1), d = 2.864 Å, 31.23°, rel. 1000
- (2 0 -1), d = 2.084 Å, 43.43°, rel. 377
- (0 2 3), d = 2.076 Å, 43.60°, rel. 373
- (2 2 2), d = 2.025 Å, 44.75°, rel. 360
- (2 2 0), d = 1.686 Å, 54.42°, rel. 189

---

(3)
Theoretical PXRD pattern of Si3Ag for Cu Kα, from DFT lattice parameters and positions (PBE).

Structure:
Lattice parameters (Å, degrees): 5.465 5.471 5.565 61.93 69.62 69.20
Space group P-1 (No. 2)
Symmetry-distinct sites (fractional):
Si: 0.234 0.286 0.284 x2
Si: 0.249 0.357 0.793 x2
Si: 0.250 0.786 0.355 x2
Ag: 0.230 0.852 0.846 x2

The 6 most intense peaks (15 to 90 degrees two-theta), low angle first:
- (1 0 1), d = 3.903 Å, 22.78°, rel. 975
- (2 0 0), d = 2.492 Å, 36.04°, rel. 1000
- (1 0 2), d = 2.372 Å, 37.93°, rel. 518
- (1 2 2), d = 2.365 Å, 38.05°, rel. 543
- (1 2 0), d = 2.345 Å, 38.39°, rel. 696
- (1 -2 0), d = 1.956 Å, 46.42°, rel. 540

---

(4)
Theoretical PXRD pattern of Si3Ag for Cu Kα, from DFT lattice parameters and positions (PBE).

Structure:
Lattice parameters (Å, degrees): 5.6342 5.6342 4.7716 90.00 90.00 120.00
Space group P6_3/mmc (No. 194)
Symmetry-distinct sites (fractional):
Si: 0.1537 0.3074 0.2500 x6
Ag: 0.3333 0.6667 0.7500 x2

The 6 most intense peaks (15 to 90 degrees two-theta), low angle first:
- (1 0 1), d = 3.411 Å, 26.12°, rel. 726
- (1 1 0), d = 2.817 Å, 31.76°, rel. 272
- (2 0 0), d = 2.440 Å, 36.84°, rel. 237
- (0 0 2), d = 2.386 Å, 37.70°, rel. 303
- (2 0 1), d = 2.172 Å, 41.57°, rel. 1000
- (2 0 3), d = 1.332 Å, 70.70°, rel. 197